(1)
Starting from a crystal structure in Alexandria, relaxed with PBE+U, the X-ray powder pattern of Nb2Ni2O9 was calculated for CuKα.
Intensities are scaled so that the largest is 100.

Most intense lines, 10 to 90 degrees two-theta, in order of rising 2θ:
two_theta  I (rel.)  index
12.4  18  0 0 2
21.2  50  1 0 0
24.6  100  1 0 2
32.9  75  1 0 4
37.1  46  1 1 0
41.8  15  1 1 3
50.4  27  2 0 4
54.0  64  1 1 6
64.3  23  2 1 4
66.9  22  3 0 0

Cell and atoms:
abc: 4.8470 4.8470 14.2728
angles: 90.00 90.00 120.00
Space group P6_3/mcm (No. 193)
One atom of each set of equivalent atoms:
Nb 0.0000 0.0000 0.1564
Ni 0.3333 0.6667 0.0000
O 0.0000 0.3005 0.2500
O 0.0000 0.3549 0.5721

(2)
Starting from a crystal structure in Alexandria, relaxed with PBE+U, the X-ray powder pattern of Nb2Ni4O9 was calculated for CuKα.
Intensities are scaled so that the largest is 100.

Most intense lines, 10 to 90 degrees two-theta, in order of rising 2θ:
two_theta  I (rel.)  index
23.5  24  1 1 2
29.4  39  2 1 2
31.9  100  1 1 4
35.0  38  0 2 0
35.1  65  3 1 0
36.5  18  2 1 4
48.1  22  2 2 4
52.0  78  0 2 6
60.9  13  4 2 4
62.8  28  3 3 0

Cell and atoms:
abc: 8.848 5.134 14.494
angles: 90.00 90.00 90.00
Space group Pbcn (No. 60)
One atom of each set of equivalent atoms:
Nb 0.030 0.003 0.145
Ni 0.164 0.496 0.812
Ni 0.165 0.494 0.998
O 0.000 0.287 0.750
O 0.005 0.335 0.415
O 0.149 0.152 0.249
O 0.165 0.168 0.903
O 0.171 0.171 0.572

(3)
Starting from a crystal structure in Alexandria, relaxed with PBE+U, the X-ray powder pattern of Nb2NiO was calculated for CuKα.
Intensities are scaled so that the largest is 100.

Most intense lines, 10 to 90 degrees two-theta, in order of rising 2θ:
two_theta  I (rel.)  index
30.2  14  1 0 3
30.8  100  1 1 2
31.8  7  0 0 4
42.9  21  2 1 1
48.9  7  2 1 3
50.0  38  2 0 4
54.1  11  2 2 0
56.0  17  1 1 6
63.5  13  3 1 2
75.9  8  3 2 3

Cell and atoms:
abc: 4.795 4.795 11.266
angles: 90.00 90.00 90.00
Space group I-42d (No. 122)
One atom of each set of equivalent atoms:
Nb 0.185 0.250 0.125
Ni 0.000 0.000 0.500
O 0.000 0.000 0.000

(4)
Starting from a crystal structure in Alexandria, relaxed with PBE+U, the X-ray powder pattern of NbNi5P6O24 was calculated for CuKα.
Intensities are scaled so that the largest is 100.

Most intense lines, 10 to 90 degrees two-theta, in order of rising 2θ:
two_theta  I (rel.)  index
20.5  100  1 1 0
20.8  16  1 0 4
24.2  80  2 -1 3
33.2  64  2 -1 6
35.9  43  3 0 0
47.5  37  1 2 8
49.6  25  4 -2 6
56.1  24  1 4 0
56.7  18  3 1 8
62.7  19  5 -4 6

Cell and atoms:
abc: 8.6766 8.6766 20.7119
angles: 90.00 90.00 120.00
Space group R3 (No. 146, hexagonal axes)
One atom of each set of equivalent atoms:
Nb 0.0000 0.0000 0.0000
Ni 0.0000 0.0000 0.2172
Ni 0.0000 0.0000 0.3561
Ni 0.0000 0.0000 0.4952
Ni 0.0000 0.0000 0.7150
Ni 0.0000 0.0000 0.8530
P 0.0041 0.3052 0.1090
P 0.0378 0.6731 0.2747
O 0.0006 0.1755 0.4271
O 0.0213 0.8169 0.6651
O 0.0309 0.1914 0.7852
O 0.0388 0.2201 0.1681
O 0.1480 0.4737 0.7155
O 0.1500 0.6978 0.2136
O 0.1593 0.6678 0.9521
O 0.1695 0.6853 0.5968